Calculated X-ray diffraction stick pattern of Zn2Ga5Rh3 for Cu Kα (λ = 1.5418 Å), from a structure optimized by DFT (PBE).

The 12 most intense peaks (10° ≤ 2θ ≤ 80°), low angle first:
2theta, I (rel.), index
22.81, 40.4, 1 3 0
35.62, 50.0, 0 0 2
38.06, 47.6, 2 2 -2
38.38, 83.2, 0 2 2
39.31, 54.6, 1 5 -1
40.66, 100.0, 4 2 0
41.80, 64.8, 1 5 1
44.49, 81.4, 4 0 -2
45.33, 36.4, 2 0 2
45.78, 32.4, 0 4 2
45.91, 40.3, 3 5 -1
47.78, 35.4, 4 4 0

Cell and atoms:
```
data_Zn2Ga5Rh3
_symmetry_space_group_name_H-M 'C 1 2/c 1'
_symmetry_Int_Tables_number 15
_cell_length_a 9.8630
_cell_length_b 12.8380
_cell_length_c 5.2554
_cell_angle_alpha 90.00
_cell_angle_beta 106.48
_cell_angle_gamma 90.00
loop_
_symmetry_equiv_pos_as_xyz
'x,y,z'
'-x,-y,-z'
'-x,y,-z+1/2'
'x,-y,z+1/2'
'x+1/2,y+1/2,z'
'-x+1/2,-y+1/2,-z'
'-x+1/2,y+1/2,-z+1/2'
'x+1/2,-y+1/2,z+1/2'
loop_
_atom_site_label
_atom_site_type_symbol
_atom_site_fract_x
_atom_site_fract_y
_atom_site_fract_z
Zn1 Zn 0.1371 0.2134 0.0573
Ga1 Ga 0.0000 0.0017 0.7500
Ga2 Ga 0.1169 0.3489 0.5305
Ga3 Ga 0.2170 0.4481 0.1119
Rh1 Rh 0.0000 0.4836 0.7500
Rh2 Rh 0.1228 0.1556 0.5389
```


Calculated X-ray diffraction stick pattern of ErZn2Cu4 for Cu Kα (λ = 1.5418 Å), from a structure optimized by DFT (PBE).

The 12 most intense peaks (10° ≤ 2θ ≤ 80°), low angle first:
2theta, I (rel.), index
35.58, 34.7, 1 1 1
36.00, 65.1, 2 0 -2
36.24, 70.2, 3 1 -1
39.57, 100.0, 2 2 0
41.02, 51.6, 1 1 -2
41.56, 49.0, 3 1 -2
45.35, 33.5, 2 0 1
46.12, 35.5, 4 0 -1
46.33, 55.6, 1 3 -1
57.66, 16.3, 0 4 0
72.41, 27.5, 1 3 2
73.52, 19.9, 5 3 -2

Cell and atoms:
```
data_ErZn2Cu4
_symmetry_space_group_name_H-M 'C 1 2/m 1'
_symmetry_Int_Tables_number 12
_cell_length_a 8.1005
_cell_length_b 6.3945
_cell_length_c 4.9856
_cell_angle_alpha 90.00
_cell_angle_beta 126.75
_cell_angle_gamma 90.00
loop_
_symmetry_equiv_pos_as_xyz
'x,y,z'
'-x,-y,-z'
'-x,y,-z'
'x,-y,z'
'x+1/2,y+1/2,z'
'-x+1/2,-y+1/2,-z'
'-x+1/2,y+1/2,-z'
'x+1/2,-y+1/2,z'
loop_
_atom_site_label
_atom_site_type_symbol
_atom_site_fract_x
_atom_site_fract_y
_atom_site_fract_z
Er1 Er 0.0000 0.0000 0.0000
Zn1 Zn 0.0021 0.5000 0.7530
Cu1 Cu 0.1899 0.1916 0.6887
```


Calculated X-ray diffraction stick pattern of InGaRh for Cu Kα (λ = 1.5418 Å), from a structure optimized by DFT (PBE).

The 12 most intense peaks (10° ≤ 2θ ≤ 80°), low angle first:
2theta, I (rel.), index
18.90, 9.2, 0 0 1
20.96, 40.0, 0 1 0
28.37, 11.9, 0 1 1
36.09, 19.6, 1 0 1
38.34, 32.7, 0 0 2
42.10, 100.0, 1 1 1
42.66, 24.0, 0 2 0
44.09, 11.0, 0 1 2
57.08, 10.1, 1 2 1
58.69, 18.2, 0 2 2
71.89, 19.6, 1 1 3
77.72, 15.7, 1 3 1

Cell and atoms:
```
data_InGaRh
_symmetry_space_group_name_H-M 'P m m m'
_symmetry_Int_Tables_number 47
_cell_length_a 2.9353
_cell_length_b 4.2384
_cell_length_c 4.6960
_cell_angle_alpha 90.00
_cell_angle_beta 90.00
_cell_angle_gamma 90.00
loop_
_symmetry_equiv_pos_as_xyz
'x,y,z'
'-x,-y,-z'
'-x,-y,z'
'x,y,-z'
'x,-y,-z'
'-x,y,z'
'-x,y,-z'
'x,-y,z'
loop_
_atom_site_label
_atom_site_type_symbol
_atom_site_fract_x
_atom_site_fract_y
_atom_site_fract_z
In1 In 0.0000 0.0000 0.0000
Ga1 Ga 0.0000 0.5000 0.5000
Rh1 Rh 0.5000 0.0000 0.5000
```


Calculated X-ray diffraction stick pattern of Al8Hg for Cu Kα (λ = 1.5418 Å), from a structure optimized by DFT (PBE).

The 12 most intense peaks (10° ≤ 2θ ≤ 80°), low angle first:
2theta, I (rel.), index
14.09, 81.3, 1 1 0
19.98, 40.1, 2 0 0
24.53, 53.1, 1 0 1
28.41, 21.5, 2 2 0
31.84, 85.4, 2 1 1
37.87, 100.0, 3 0 1
43.19, 58.0, 3 3 0
45.64, 24.4, 0 0 2
48.01, 23.5, 1 1 2
56.73, 28.6, 4 3 1
64.63, 20.7, 3 3 2
75.66, 34.7, 6 3 1

Cell and atoms:
```
data_Al8Hg
_symmetry_space_group_name_H-M 'I 4/m m m'
_symmetry_Int_Tables_number 139
_symmetry_space_group_name_Hall '-I 4 2'
_cell_length_a 8.8868
_cell_length_b 8.8868
_cell_length_c 3.9764
_cell_angle_alpha 90.00
_cell_angle_beta 90.00
_cell_angle_gamma 90.00
loop_
_atom_site_label
_atom_site_type_symbol
_atom_site_fract_x
_atom_site_fract_y
_atom_site_fract_z
Al1 Al 0.0000 0.3392 0.0000
Al2 Al 0.1722 0.1722 0.5000
Hg1 Hg 0.0000 0.0000 0.0000
```


Calculated X-ray diffraction stick pattern of Sc2Ga4Co5 for Cu Kα (λ = 1.5418 Å), from a structure optimized by DFT (PBE).

The 12 most intense peaks (10° ≤ 2θ ≤ 80°), low angle first:
2theta, I (rel.), index
20.44, 52.0, 0 2 0
20.82, 42.8, 1 1 1
36.02, 43.6, 1 3 1
40.14, 83.1, 1 3 3
40.45, 28.5, 2 2 0
42.66, 100.0, 2 0 4
47.47, 45.8, 1 3 5
47.74, 54.6, 2 2 4
48.73, 37.5, 0 4 4
49.76, 43.3, 0 0 8
69.83, 20.2, 0 6 4
75.10, 24.7, 2 6 0

Cell and atoms:
```
data_Sc2Ga4Co5
_symmetry_space_group_name_H-M 'F m m m'
_symmetry_Int_Tables_number 69
_symmetry_space_group_name_Hall '-F 2 2'
_cell_length_a 5.1965
_cell_length_b 8.6893
_cell_length_c 14.6587
_cell_angle_alpha 90.00
_cell_angle_beta 90.00
_cell_angle_gamma 90.00
loop_
_atom_site_label
_atom_site_type_symbol
_atom_site_fract_x
_atom_site_fract_y
_atom_site_fract_z
Sc1 Sc 0.0000 0.0000 0.1108
Ga1 Ga 0.0000 0.1588 0.3699
Co1 Co 0.0000 0.0000 0.5000
Co2 Co 0.2500 0.2500 0.0000
Co3 Co 0.2500 0.2500 0.2500
```


Calculated X-ray diffraction stick pattern of CaScGa for Cu Kα (λ = 1.5418 Å), from a structure optimized by DFT (PBE).

The 12 most intense peaks (10° ≤ 2θ ≤ 80°), low angle first:
2theta, I (rel.), index
12.27, 29.7, 0 0 1
22.65, 34.9, 1 0 1
26.95, 39.7, 1 1 0
29.71, 40.1, 1 1 1
31.31, 54.4, 1 0 2
36.87, 100.0, 1 1 2
38.49, 77.6, 2 0 0
42.25, 28.6, 1 0 3
50.42, 26.3, 2 1 2
55.56, 24.8, 2 2 0
58.47, 20.9, 2 1 3
68.56, 29.0, 3 1 2

Cell and atoms:
```
data_CaScGa
_symmetry_space_group_name_H-M 'P 4/n m m'
_symmetry_Int_Tables_number 129
_cell_length_a 4.6783
_cell_length_b 4.6783
_cell_length_c 7.2150
_cell_angle_alpha 90.00
_cell_angle_beta 90.00
_cell_angle_gamma 90.00
loop_
_symmetry_equiv_pos_as_xyz
'x,y,z'
'-x,-y,-z'
'-y+1/2,x,z'
'y+1/2,-x,-z'
'-x+1/2,-y+1/2,z'
'x+1/2,y+1/2,-z'
'y,-x+1/2,z'
'-y,x+1/2,-z'
'x+1/2,-y,-z'
'-x+1/2,y,z'
'-y,-x,-z'
'y,x,z'
'-x,y+1/2,-z'
'x,-y+1/2,z'
'y+1/2,x+1/2,-z'
'-y+1/2,-x+1/2,z'
loop_
_atom_site_label
_atom_site_type_symbol
_atom_site_fract_x
_atom_site_fract_y
_atom_site_fract_z
Ca1 Ca 0.2500 0.2500 0.1419
Sc1 Sc 0.2500 0.7500 0.5000
Ga1 Ga 0.2500 0.2500 0.7170
```